Calculated X-ray powder pattern
Compound: LiTmO2
Radiation: Cu Kα (λ = 1.5418 Å)
Structure: the GGA-PBE geometry in the Materials Project
Intensities are scaled so that the largest is 100.

Cell and atoms:
```
LiTmO2
1.0
3.3137 0.0000 0.0000
-1.6569 2.8698 0.0000
0.0000 0.0000 15.1322
Li Tm O
3 3 6
Cartesian
0.0000 0.0000 0.0000
0.0000 1.9132 10.0881
1.6569 0.9566 5.0441
0.0000 0.0000 7.5661
0.0000 1.9132 2.5220
1.6569 0.9566 12.6102
0.0000 0.0000 3.6982
0.0000 0.0000 11.4340
0.0000 1.9132 6.3900
0.0000 1.9132 13.7863
1.6569 0.9566 1.3459
1.6569 0.9566 8.7422
```

Main lines, by angle (5 to 70 degrees two-theta):
17.58 deg, rel. 100, hkl 0 0 3; 31.74 deg, rel. 67, hkl 1 0 1; 33.39 deg, rel. 44, hkl 0 1 2; 39.41 deg, rel. 60, hkl 1 0 4; 43.46 deg, rel. 27, hkl 0 1 5; 55.46 deg, rel. 22, hkl 1 1 0; 58.44 deg, rel. 18, hkl 0 1 8; 58.65 deg, rel. 25, hkl 1 1 3